Calculated powder diffraction line list
Compound: Tb2NiSn6
Radiation: a wavelength of 1.5418 Å
Structure: a structure optimized by DFT (GGA-PBE)
Neutral-atom scattering factors, no anomalous dispersion.

Top 10 peaks for 10° ≤ 2θ ≤ 90°, by angle:
31.02 deg, I 639, hkl 1 3 1; 31.44 deg, I 327, hkl 0 8 0; 34.89 deg, I 1000, hkl 1 5 1; 40.67 deg, I 297, hkl 0 0 2; 41.22 deg, I 384, hkl 2 0 0; 52.29 deg, I 162, hkl 0 8 2; 52.75 deg, I 157, hkl 2 8 0; 59.29 deg, I 266, hkl 2 0 2; 60.66 deg, I 147, hkl 1 13 1; 68.67 deg, I 147, hkl 2 8 2

Structural model:
```
data_Tb2NiSn6
_space_group_name_H-M_alt 'C m m m'
_space_group_IT_number 65
_space_group_name_Hall '-C 2 2'
_cell_length_a 4.380
_cell_length_b 22.761
_cell_length_c 4.437
_cell_angle_alpha 90.00
_cell_angle_beta 90.00
_cell_angle_gamma 90.00
loop_
_atom_site_label
_atom_site_type_symbol
_atom_site_fract_x
_atom_site_fract_y
_atom_site_fract_z
Tb1 Tb 0.000 0.178 0.000
Ni1 Ni 0.000 0.500 0.500
Sn1 Sn 0.000 0.069 0.500
Sn2 Sn 0.000 0.295 0.500
Sn3 Sn 0.000 0.430 0.000
```